Calculated PXRD pattern
Compound: YVIr
Radiation: λ = 1.5418 Å (Cu Kα)
Structure: a cell relaxed with GGA-PBE
Kinematic intensities with the Lorentz-polarization factor, no thermal factor.

Most intense lines, 2θ = 5–70°, most intense first:
- (1 2 1), 2θ 40.3, I 100
- (1 2 -1), 2θ 36.0, I 95
- (0 1 1), 2θ 20.0, I 77
- (1 1 -3), 2θ 38.1, I 60
- (1 1 0), 2θ 22.9, I 57
- (2 0 0), 2θ 33.4, I 53
- (2 1 -2), 2θ 36.9, I 46
- (0 0 2), 2θ 24.6, I 46
- (2 0 -2), 2θ 33.1, I 44
- (1 1 2), 2θ 38.4, I 36

Cell and atoms:
Cell lengths 5.8058, 5.6260, 7.8283 Å; angles 90.00, 112.39, 90.00 degrees
Space group P2_1/c (No. 14)
Asymmetric unit:
Y 0.1876 0.1160 0.3767
V 0.4146 0.6095 0.3013
Ir 0.2195 0.6206 0.5297